1.
Simulated powder diffraction line list
Compound: NaSmCd
Radiation: Cu Kα (λ = 1.5418 Å)
Structure: the GGA-PBE geometry in Alexandria

Main lines, sorted by position (2θ from 10° to 90°):
two_theta	I/Imax	h k l
10.06	77.8	0 0 1
29.07	22.8	1 0 -2
32.11	36.7	0 2 0
33.30	100.0	1 1 1
34.57	42.1	0 1 3
39.25	21.7	1 1 2
43.86	16.3	1 2 -2
53.31	15.3	1 0 4
58.00	19.8	1 3 1
63.61	20.2	1 2 4

```
data_NaSmCd
_cell_length_a 3.607
_cell_length_b 5.575
_cell_length_c 8.977
_cell_angle_alpha 90.00
_cell_angle_beta 101.56
_cell_angle_gamma 90.00
_symmetry_space_group_name_H-M 'P 1 21/m 1'
_symmetry_Int_Tables_number 11
loop_
_symmetry_equiv_pos_as_xyz
'x,y,z'
'-x,-y,-z'
'-x,y+1/2,-z'
'x,-y+1/2,z'
loop_
_atom_site_label
_atom_site_type_symbol
_atom_site_fract_x
_atom_site_fract_y
_atom_site_fract_z
Na1 Na 0.049 0.250 0.095
Sm1 Sm 0.271 0.750 0.544
Cd1 Cd 0.385 0.250 0.768
```

2.
Simulated powder diffraction line list
Compound: Sr3LaAg4
Radiation: Cu Kα (λ = 1.5418 Å)
Structure: the GGA-PBE geometry in Alexandria

Main lines, sorted by position (2θ from 10° to 90°):
two_theta	I/Imax	h k l
32.35	100.0	1 0 4
32.47	51.0	1 1 0
46.23	8.2	0 0 8
46.58	18.2	2 0 0
57.63	16.8	1 1 8
57.85	36.2	2 1 4
67.72	10.2	2 0 8
68.00	6.3	2 2 0
76.80	6.1	1 0 12
77.36	15.5	3 1 0

```
data_Sr3LaAg4
_cell_length_a 3.900
_cell_length_b 3.900
_cell_length_c 15.710
_cell_angle_alpha 90.00
_cell_angle_beta 90.00
_cell_angle_gamma 90.00
_symmetry_space_group_name_H-M 'P 4/m m m'
_symmetry_Int_Tables_number 123
_symmetry_space_group_name_Hall '-P 4 2'
loop_
_atom_site_label
_atom_site_type_symbol
_atom_site_fract_x
_atom_site_fract_y
_atom_site_fract_z
Sr1 Sr 0.000 0.000 0.000
Sr2 Sr 0.000 0.000 0.253
La1 La 0.000 0.000 0.500
Ag1 Ag 0.500 0.500 0.126
Ag2 Ag 0.500 0.500 0.388
```

3.
Simulated powder diffraction line list
Compound: Co5Sn2Sb2
Radiation: Cu Kα (λ = 1.5418 Å)
Structure: the GGA-PBE geometry in Alexandria

Main lines, sorted by position (2θ from 10° to 90°):
two_theta	I/Imax	h k l
30.71	100.0	1 0 2
43.56	89.9	1 1 0
44.41	72.0	1 0 4
54.24	20.6	2 0 2
57.94	11.3	1 1 4
61.84	12.9	1 0 6
63.96	23.2	2 0 4
71.99	18.2	2 1 2
79.98	14.6	3 0 0
80.58	23.6	2 1 4

```
data_Co5Sn2Sb2
_cell_length_a 4.1556
_cell_length_b 4.1556
_cell_length_c 9.9041
_cell_angle_alpha 90.00
_cell_angle_beta 90.00
_cell_angle_gamma 120.00
_symmetry_space_group_name_H-M 'P -6 m 2'
_symmetry_Int_Tables_number 187
_symmetry_space_group_name_Hall 'P -6 2'
loop_
_atom_site_label
_atom_site_type_symbol
_atom_site_fract_x
_atom_site_fract_y
_atom_site_fract_z
Co1 Co 0.0000 0.0000 0.0000
Co2 Co 0.3333 0.6667 0.1295
Co3 Co 0.3333 0.6667 0.3737
Sn1 Sn 0.6667 0.3333 0.0000
Sn2 Sn 0.6667 0.3333 0.5000
Sb1 Sb 0.0000 0.0000 0.2599
```